Starting from a crystal structure in Alexandria, relaxed with GGA+U, the powder diffractogram of TaCrMoO6 was simulated for Cu Kα, 1.54184 Å.

Main lines, in order of rising 2θ (2θ = 10–80°):
(hkl), Position (°2θ), Rel. int.
0 0 2, 19.4, 18
1 0 1, 22.4, 43
1 0 2, 28.1, 100
1 1 0, 35.2, 47
1 1 2, 40.5, 19
2 0 2, 45.6, 26
1 1 4, 53.8, 48
2 1 2, 58.9, 24

abc: 5.100 5.100 9.155
angles: 90.00 90.00 120.00
Sites, in units of the cell vectors:
Ta: 0.333 0.667 0.250
Ta: 0.667 0.333 0.750
Cr: 0.333 0.667 0.750
Cr: 0.667 0.333 0.250
Mo: 0.000 0.000 0.000
Mo: 0.000 0.000 0.500
O: 0.005 0.337 0.132
O: 0.005 0.668 0.368
O: 0.332 0.337 0.368
O: 0.332 0.995 0.132
O: 0.337 0.005 0.632
O: 0.337 0.332 0.868
O: 0.663 0.668 0.132
O: 0.663 0.995 0.368
O: 0.668 0.005 0.868
O: 0.668 0.663 0.632
O: 0.995 0.332 0.632
O: 0.995 0.663 0.868